Entry 1:
This entry pairs a crystal structure of U4Ga20Ni11 with its calculated X-ray powder pattern. Radiation: CuKα. Structure: a PBE-relaxed structure.
Lines closer than 0.1° are merged.

Top 8 peaks for 15 to 90 degrees two-theta, sorted by position:
two_theta  Rel. int.
33.75  40.3
36.82  34.4
37.06  72.5
37.89  95.5
37.99  56.9
38.16  51.0
38.63  88.8
43.93  100.0

```
data_U4Ga20Ni11
_chemical_formula_sum 'U4 Ga20 Ni11'
_space_group_name_H-M_alt 'P 1'
_space_group_IT_number 1
_cell_length_a 4.122
_cell_length_b 10.571
_cell_length_c 12.881
_cell_angle_alpha 80.94
_cell_angle_beta 80.83
_cell_angle_gamma 78.80
loop_
_space_group_symop_operation_xyz
'x,y,z'
loop_
_atom_site_label
_atom_site_type_symbol
_atom_site_fract_x
_atom_site_fract_y
_atom_site_fract_z
_atom_site_occupancy
U1 U 0.000 0.000 0.000 1
U2 U 0.109 0.274 0.508 1
U3 U 0.658 0.539 0.153 1
U4 U 0.768 0.810 0.661 1
Ga1 Ga 0.079 0.514 0.328 1
Ga2 Ga 0.137 0.700 0.033 1
Ga3 Ga 0.181 0.809 0.831 1
Ga4 Ga 0.258 0.967 0.525 1
Ga5 Ga 0.275 0.435 0.021 1
Ga6 Ga 0.283 0.113 0.326 1
Ga7 Ga 0.344 0.609 0.708 1
Ga8 Ga 0.423 0.202 0.952 1
Ga9 Ga 0.483 0.702 0.334 1
Ga10 Ga 0.493 0.378 0.639 1
Ga11 Ga 0.512 0.846 0.137 1
Ga12 Ga 0.581 0.004 0.829 1
Ga13 Ga 0.626 0.112 0.628 1
Ga14 Ga 0.684 0.299 0.333 1
Ga15 Ga 0.770 0.577 0.879 1
Ga16 Ga 0.814 0.242 0.125 1
Ga17 Ga 0.878 0.829 0.419 1
Ga18 Ga 0.886 0.987 0.241 1
Ga19 Ga 0.950 0.573 0.534 1
Ga20 Ga 0.985 0.236 0.781 1
Ni1 Ni 0.020 0.745 0.224 1
Ni2 Ni 0.125 0.026 0.717 1
Ni3 Ni 0.223 0.332 0.217 1
Ni4 Ni 0.381 0.087 0.139 1
Ni5 Ni 0.381 0.727 0.521 1
Ni6 Ni 0.383 0.405 0.830 1
Ni7 Ni 0.539 0.483 0.443 1
Ni8 Ni 0.636 0.788 0.943 1
Ni9 Ni 0.752 0.067 0.437 1
Ni10 Ni 0.859 0.343 0.941 1
Ni11 Ni 0.907 0.470 0.718 1
```

=====

Entry 2:
This entry pairs a crystal structure of U4Ga12Ni with its calculated X-ray powder pattern. Radiation: CuKα. Structure: a PBE-relaxed structure.
Lines closer than 0.1° are merged.

Top 8 peaks for 15 to 90 degrees two-theta, sorted by position:
two_theta  Rel. int.
20.72  29.2
29.47  45.3
36.31  100.0
42.17  56.7
47.43  18.0
52.28  16.7
61.16  35.5
73.25  35.1

```
data_U4Ga12Ni
_chemical_formula_sum 'U4 Ga12 Ni1'
_space_group_name_H-M_alt 'P 1'
_space_group_IT_number 1
_cell_length_a 7.423
_cell_length_b 7.423
_cell_length_c 7.423
_cell_angle_alpha 109.47
_cell_angle_beta 109.47
_cell_angle_gamma 109.47
loop_
_space_group_symop_operation_xyz
'x,y,z'
loop_
_atom_site_label
_atom_site_type_symbol
_atom_site_fract_x
_atom_site_fract_y
_atom_site_fract_z
_atom_site_occupancy
U1 U 0.000 0.000 0.500 1
U2 U 0.000 0.500 0.000 1
U3 U 0.500 0.000 0.000 1
U4 U 0.500 0.500 0.500 1
Ga1 Ga 0.000 0.285 0.285 1
Ga2 Ga 0.000 0.715 0.715 1
Ga3 Ga 0.250 0.500 0.750 1
Ga4 Ga 0.250 0.750 0.500 1
Ga5 Ga 0.285 0.000 0.285 1
Ga6 Ga 0.285 0.285 0.000 1
Ga7 Ga 0.500 0.250 0.750 1
Ga8 Ga 0.500 0.750 0.250 1
Ga9 Ga 0.715 0.000 0.715 1
Ga10 Ga 0.715 0.715 0.000 1
Ga11 Ga 0.750 0.250 0.500 1
Ga12 Ga 0.750 0.500 0.250 1
Ni1 Ni 0.000 0.000 0.000 1
```

=====

Entry 3:
This entry pairs a crystal structure of UGa3Ni with its calculated X-ray powder pattern. Radiation: CuKα. Structure: a PBE-relaxed structure.
Lines closer than 0.1° are merged.

Top 8 peaks for 15 to 90 degrees two-theta, sorted by position:
two_theta  Rel. int.
23.45  25.8
31.10  26.8
33.76  76.5
35.58  100.0
44.56  47.8
48.74  35.8
57.05  34.7
68.16  26.6

```
data_UGa3Ni
_chemical_formula_sum 'U2 Ga6 Ni2'
_space_group_name_H-M_alt 'P 1'
_space_group_IT_number 1
_cell_length_a 4.067
_cell_length_b 4.067
_cell_length_c 10.517
_cell_angle_alpha 90.00
_cell_angle_beta 90.00
_cell_angle_gamma 90.00
loop_
_space_group_symop_operation_xyz
'x,y,z'
loop_
_atom_site_label
_atom_site_type_symbol
_atom_site_fract_x
_atom_site_fract_y
_atom_site_fract_z
_atom_site_occupancy
U1 U 0.000 0.000 0.000 1
U2 U 0.500 0.500 0.500 1
Ga1 Ga 0.000 0.000 0.384 1
Ga2 Ga 0.000 0.000 0.616 1
Ga3 Ga 0.000 0.500 0.250 1
Ga4 Ga 0.500 0.000 0.750 1
Ga5 Ga 0.500 0.500 0.116 1
Ga6 Ga 0.500 0.500 0.884 1
Ni1 Ni 0.000 0.500 0.750 1
Ni2 Ni 0.500 0.000 0.250 1
```

=====

What did the second record say?
This entry pairs a crystal structure of U4Ga12Ni with its calculated X-ray powder pattern. Radiation: CuKα. Structure: a PBE-relaxed structure.
Lines closer than 0.1° are merged.

Top 8 peaks for 15 to 90 degrees two-theta, sorted by position:
two_theta  Rel. int.
20.72  29.2
29.47  45.3
36.31  100.0
42.17  56.7
47.43  18.0
52.28  16.7
61.16  35.5
73.25  35.1

```
data_U4Ga12Ni
_chemical_formula_sum 'U4 Ga12 Ni1'
_space_group_name_H-M_alt 'P 1'
_space_group_IT_number 1
_cell_length_a 7.423
_cell_length_b 7.423
_cell_length_c 7.423
_cell_angle_alpha 109.47
_cell_angle_beta 109.47
_cell_angle_gamma 109.47
loop_
_space_group_symop_operation_xyz
'x,y,z'
loop_
_atom_site_label
_atom_site_type_symbol
_atom_site_fract_x
_atom_site_fract_y
_atom_site_fract_z
_atom_site_occupancy
U1 U 0.000 0.000 0.500 1
U2 U 0.000 0.500 0.000 1
U3 U 0.500 0.000 0.000 1
U4 U 0.500 0.500 0.500 1
Ga1 Ga 0.000 0.285 0.285 1
Ga2 Ga 0.000 0.715 0.715 1
Ga3 Ga 0.250 0.500 0.750 1
Ga4 Ga 0.250 0.750 0.500 1
Ga5 Ga 0.285 0.000 0.285 1
Ga6 Ga 0.285 0.285 0.000 1
Ga7 Ga 0.500 0.250 0.750 1
Ga8 Ga 0.500 0.750 0.250 1
Ga9 Ga 0.715 0.000 0.715 1
Ga10 Ga 0.715 0.715 0.000 1
Ga11 Ga 0.750 0.250 0.500 1
Ga12 Ga 0.750 0.500 0.250 1
Ni1 Ni 0.000 0.000 0.000 1
```